Starting from a PBE-relaxed structure, the XRD peak list of Sr4TaCr was calculated for copper Kα.
Peak positions follow from Bragg's law for the DFT cell and can differ from measured ones.

Main lines, in order of falling intensity (2θ = 5–70°):
30.39 deg, d = 2.942 Å, rel. 100.0
48.48 deg, d = 1.878 Å, rel. 35.9
31.77 deg, d = 2.816 Å, rel. 33.6
25.83 deg, d = 3.449 Å, rel. 33.0
53.10 deg, d = 1.725 Å, rel. 28.2
45.55 deg, d = 1.991 Å, rel. 14.1
63.22 deg, d = 1.471 Å, rel. 13.8
62.42 deg, d = 1.488 Å, rel. 12.6
15.73 deg, d = 5.633 Å, rel. 10.0
18.19 deg, d = 4.878 Å, rel. 9.9

```
Sr4TaCr
1.0
0.000 4.878 4.878
4.878 0.000 4.878
4.878 4.878 0.000
Sr Ta Cr
4 1 1
direct
0.125 0.125 0.125
0.125 0.125 0.626
0.125 0.626 0.125
0.626 0.125 0.125
0.750 0.750 0.750
0.500 0.500 0.500
```